ZrFeP: simulated PXRD pattern (a wavelength of 1.5418 Å), based on a structure optimized by DFT (PBE).
Neutral-atom scattering factors, no anomalous dispersion.

Peak list (10 most intense, 15° ≤ 2θ ≤ 90°, low angle first)
index	2theta	Rel. int.
0 1 1	26.83	22
2 1 0	37.12	20
1 1 2	37.65	95
2 0 2	38.12	29
2 1 1	39.31	100
1 0 3	40.76	37
3 0 1	44.81	29
0 1 3	45.33	39
0 2 0	48.39	38
3 1 4	74.30	27

Structural model:
Cell: 6.332 3.762 7.088 Å, 90.00 90.00 90.00°
Space group Pnma (No. 62)
Unique sites:
1 Zr 0.015 0.250 0.185 (multiplicity 4)
2 Fe 0.146 0.250 0.562 (multiplicity 4)
3 P 0.216 0.750 0.388 (multiplicity 4)

---

FeSb6Pb4S14: simulated PXRD pattern (a wavelength of 1.5418 Å), based on a structure optimized by DFT (PBE).
Neutral-atom scattering factors, no anomalous dispersion.

Peak list (10 most intense, 15° ≤ 2θ ≤ 90°, low angle first)
index	2theta	Rel. int.
0 1 4	22.75	38
1 2 1	24.71	44
0 5 2	25.44	100
1 3 -2	27.97	47
0 1 5	28.36	34
1 2 3	29.72	29
1 1 -4	31.22	62
1 3 3	31.49	39
1 2 -4	32.27	45
1 8 0	43.37	36

Structural model:
Cell: 4.044 19.484 15.971 Å, 90.00 92.23 90.00°
Space group P2_1/c (No. 14)
Unique sites:
1 Fe 0.000 0.000 0.000 (multiplicity 2)
2 Sb 0.372 0.161 0.372 (multiplicity 4)
3 Sb 0.373 0.054 0.604 (multiplicity 4)
4 Sb 0.407 0.560 0.317 (multiplicity 4)
5 Pb 0.037 0.637 0.683 (multiplicity 4)
6 Pb 0.065 0.742 0.925 (multiplicity 4)
7 S 0.016 0.101 0.082 (multiplicity 4)
8 S 0.032 0.507 0.785 (multiplicity 4)
9 S 0.063 0.604 0.000 (multiplicity 4)
10 S 0.107 0.701 0.220 (multiplicity 4)
11 S 0.416 0.230 0.950 (multiplicity 4)
12 S 0.442 0.162 0.684 (multiplicity 4)
13 S 0.474 0.044 0.907 (multiplicity 4)

---

Tm12Fe2Pb3: simulated PXRD pattern (a wavelength of 1.5418 Å), based on a structure optimized by DFT (PBE).
Neutral-atom scattering factors, no anomalous dispersion.

Peak list (10 most intense, 15° ≤ 2θ ≤ 90°, low angle first)
index	2theta	Rel. int.
3 0 1	29.39	19
2 2 2	32.05	100
2 1 3	34.39	23
0 0 4	36.46	15
4 0 0	37.52	31
4 0 4	53.32	11
4 4 0	54.11	10
3 0 5	54.71	9
5 2 3	59.01	9
6 2 2	64.29	14

Structural model:
Cell: 9.588 9.588 9.856 Å, 90.00 90.00 90.00°
Space group I4/mmm (No. 139)
Unique sites:
1 Tm 0.000 0.245 0.215 (multiplicity 16)
2 Tm 0.195 0.195 0.500 (multiplicity 8)
3 Fe 0.000 0.000 0.389 (multiplicity 4)
4 Pb 0.000 0.000 0.000 (multiplicity 2)
5 Pb 0.000 0.500 0.000 (multiplicity 4)

---

FePd3: simulated PXRD pattern (a wavelength of 1.5418 Å), based on a structure optimized by DFT (PBE).
Neutral-atom scattering factors, no anomalous dispersion.

Peak list (10 most intense, 15° ≤ 2θ ≤ 90°, low angle first)
index	2theta	Rel. int.
1 0 0	22.83	5
1 1 0	32.51	4
1 1 1	40.10	100
2 0 0	46.64	48
2 1 0	52.54	2
2 1 1	58.00	2
2 2 0	68.08	30
3 0 0	72.85	1
3 1 1	82.06	35
2 2 2	86.57	10

Structural model:
Cell: 3.895 3.895 3.895 Å, 90.00 90.00 90.00°
Space group Pm-3m (No. 221)
Unique sites:
1 Fe 0.000 0.000 0.000 (multiplicity 1)
2 Pd 0.000 0.500 0.500 (multiplicity 3)

---

Fe2Pd: simulated PXRD pattern (a wavelength of 1.5418 Å), based on a structure optimized by DFT (PBE).
Neutral-atom scattering factors, no anomalous dispersion.

Peak list (10 most intense, 15° ≤ 2θ ≤ 90°, low angle first)
index	2theta	Rel. int.
0 0 2	29.09	7
1 0 1	40.43	100
0 0 3	44.25	23
0 1 2	48.19	55
1 1 0	67.78	19
1 0 4	73.24	16
0 2 1	81.99	12
1 1 3	84.58	19
2 0 2	87.43	9
0 1 5	89.74	8

Structural model:
Cell: 2.7651 2.7651 6.1402 Å, 90.00 90.00 120.00°
Space group P-3m1 (No. 164)
Unique sites:
1 Fe 0.3333 0.6667 0.1511 (multiplicity 2)
2 Pd 0.0000 0.0000 0.5000 (multiplicity 1)

---

Fe3Pd: simulated PXRD pattern (a wavelength of 1.5418 Å), based on a structure optimized by DFT (PBE).
Neutral-atom scattering factors, no anomalous dispersion.

Peak list (10 most intense, 15° ≤ 2θ ≤ 90°, low angle first)
index	2theta	Rel. int.
0 0 2	21.61	4
1 1 1	38.49	5
0 2 0	43.10	100
0 0 4	44.03	18
2 0 0	61.94	6
0 2 4	63.27	11
2 2 0	78.39	6
1 3 2	78.95	12
2 0 4	79.09	6
1 1 6	80.33	11

Structural model:
Cell: 2.996 4.203 8.226 Å, 90.00 90.00 90.00°
Space group Cmmm (No. 65)
Unique sites:
1 Fe 0.000 0.000 0.000 (multiplicity 2)
2 Fe 0.000 0.500 0.237 (multiplicity 4)
3 Pd 0.000 0.000 0.500 (multiplicity 2)

---

Fe3Pd: simulated PXRD pattern (a wavelength of 1.5418 Å), based on a structure optimized by DFT (PBE).
Neutral-atom scattering factors, no anomalous dispersion.

Peak list (10 most intense, 15° ≤ 2θ ≤ 90°, low angle first)
index	2theta	Rel. int.
1 0 0	23.85	10
1 1 0	33.98	8
1 1 1	41.94	100
2 0 0	48.82	47
2 1 0	55.04	4
2 1 1	60.81	3
2 2 0	71.52	28
3 0 0	76.61	2
3 1 0	81.60	1
3 1 1	86.52	33

Structural model:
Cell: 3.731 3.731 3.731 Å, 90.00 90.00 90.00°
Space group Pm-3m (No. 221)
Unique sites:
1 Fe 0.000 0.000 0.500 (multiplicity 3)
2 Pd 0.500 0.500 0.500 (multiplicity 1)

---

FePd3: simulated PXRD pattern (a wavelength of 1.5418 Å), based on a structure optimized by DFT (PBE).
Neutral-atom scattering factors, no anomalous dispersion.

Peak list (10 most intense, 15° ≤ 2θ ≤ 90°, low angle first)
index	2theta	Rel. int.
0 0 9	30.36	6
1 0 4	39.87	100
0 0 12	40.87	29
0 1 8	46.67	61
1 1 0	67.43	20
1 0 16	68.83	16
0 2 4	81.29	12
1 1 12	81.95	21
0 1 20	83.26	9
2 0 8	85.98	10

Structural model:
Cell: 2.7778 2.7778 26.4944 Å, 90.00 90.00 120.00°
Space group R-3m (No. 166, hexagonal axes)
Unique sites:
1 Fe 0.0000 0.0000 0.0000 (multiplicity 3)
2 Pd 0.0000 0.0000 0.2552 (multiplicity 6)
3 Pd 0.0000 0.0000 0.5000 (multiplicity 3)